1.
Structure and theoretical X-ray diffraction stick pattern of ErHfZr3 (a cell relaxed with PBE; Cu Ka).
Peak positions follow from Bragg's law for the DFT cell and can differ from measured ones.

The 8 most intense peaks (2θ = 10–90°), by intensity:
2θ 32.77, I = 1000; 2θ 34.29, I = 694; 2θ 37.04, I = 427; 2θ 22.50, I = 301; 2θ 35.48, I = 292; 2θ 40.30, I = 248; 2θ 52.23, I = 216; 2θ 26.18, I = 205

Crystal structure
a b c (Å): 4.854 6.809 7.565
angles (deg): 90.00 90.00 90.00
Fractional positions:
1 Er 0.250 0.250 0.047
2 Er 0.750 0.750 0.953
3 Hf 0.250 0.250 0.445
4 Hf 0.750 0.750 0.555
5 Zr 0.250 0.543 0.724
6 Zr 0.250 0.750 0.289
7 Zr 0.250 0.957 0.724
8 Zr 0.750 0.043 0.276
9 Zr 0.750 0.250 0.711
10 Zr 0.750 0.457 0.276

***

2.
Structure and theoretical X-ray diffraction stick pattern of BaPt5Pb (a cell relaxed with PBE; Cu Ka).
Peak positions follow from Bragg's law for the DFT cell and can differ from measured ones.

The 8 most intense peaks (2θ = 10–90°), by intensity:
2θ 34.74, I = 1000; 2θ 41.58, I = 977; 2θ 34.35, I = 972; 2θ 40.82, I = 842; 2θ 41.05, I = 769; 2θ 38.74, I = 747; 2θ 40.03, I = 691; 2θ 41.22, I = 443

Crystal structure
a b c (Å): 9.194 5.548 11.323
angles (deg): 90.00 90.00 90.00
Fractional positions:
1 Ba 0.245 0.250 0.062
2 Ba 0.255 0.750 0.562
3 Ba 0.745 0.250 0.438
4 Ba 0.755 0.750 0.938
5 Pt 0.046 0.750 0.102
6 Pt 0.067 0.001 0.307
7 Pt 0.067 0.499 0.307
8 Pt 0.077 0.250 0.511
9 Pt 0.188 0.250 0.741
10 Pt 0.312 0.750 0.241
11 Pt 0.423 0.750 0.011
12 Pt 0.433 0.501 0.807
13 Pt 0.433 0.999 0.807
14 Pt 0.454 0.250 0.602
15 Pt 0.546 0.750 0.398
16 Pt 0.567 0.001 0.193
17 Pt 0.567 0.499 0.193
18 Pt 0.577 0.250 0.989
19 Pt 0.688 0.250 0.759
20 Pt 0.812 0.750 0.259
21 Pt 0.923 0.750 0.489
22 Pt 0.933 0.501 0.693
23 Pt 0.933 0.999 0.693
24 Pt 0.954 0.250 0.898
25 Pb 0.144 0.750 0.867
26 Pb 0.356 0.250 0.367
27 Pb 0.644 0.750 0.633
28 Pb 0.856 0.250 0.133

***

3.
Structure and theoretical X-ray diffraction stick pattern of MnTl5Te5 (a cell relaxed with PBE; Cu Ka).
Peak positions follow from Bragg's law for the DFT cell and can differ from measured ones.

The 8 most intense peaks (2θ = 10–90°), by intensity:
2θ 31.74, I = 1000; 2θ 31.91, I = 459; 2θ 29.69, I = 273; 2θ 27.30, I = 235; 2θ 21.38, I = 230; 2θ 31.25, I = 207; 2θ 32.54, I = 197; 2θ 56.75, I = 195

Crystal structure
a b c (Å): 9.352 9.352 9.352
angles (deg): 145.10 127.23 64.84
Fractional positions:
1 Mn 0.000 0.000 0.000
2 Tl 0.196 0.696 0.500
3 Tl 0.326 0.326 0.000
4 Tl 0.500 0.000 0.500
5 Tl 0.674 0.674 0.000
6 Tl 0.804 0.304 0.500
7 Te 0.000 0.500 0.500
8 Te 0.084 0.868 0.216
9 Te 0.348 0.132 0.216
10 Te 0.652 0.868 0.784
11 Te 0.916 0.132 0.784

***

4.
Structure and theoretical X-ray diffraction stick pattern of Y5Pu2Ru5 (a cell relaxed with PBE; Cu Ka).
Peak positions follow from Bragg's law for the DFT cell and can differ from measured ones.

The 8 most intense peaks (2θ = 10–90°), by intensity:
2θ 37.64, I = 1000; 2θ 35.32, I = 841; 2θ 21.04, I = 836; 2θ 34.48, I = 634; 2θ 38.77, I = 558; 2θ 41.09, I = 399; 2θ 27.18, I = 325; 2θ 39.97, I = 261

Crystal structure
a b c (Å): 5.229 5.229 12.373
angles (deg): 102.55 102.55 54.38
Fractional positions:
1 Y 0.000 0.000 0.000
2 Y 0.176 0.176 0.556
3 Y 0.260 0.260 0.846
4 Y 0.740 0.740 0.154
5 Y 0.824 0.824 0.444
6 Pu 0.491 0.491 0.286
7 Pu 0.509 0.509 0.714
8 Ru 0.214 0.214 0.301
9 Ru 0.369 0.369 0.078
10 Ru 0.500 0.500 0.500
11 Ru 0.631 0.631 0.922
12 Ru 0.786 0.786 0.699

***

5.
Structure and theoretical X-ray diffraction stick pattern of Cu6Si (a cell relaxed with PBE; Cu Ka).
Peak positions follow from Bragg's law for the DFT cell and can differ from measured ones.

The 8 most intense peaks (2θ = 10–90°), by intensity:
2θ 44.35, I = 1000; 2θ 81.64, I = 291; 2θ 64.52, I = 150; 2θ 25.69, I = 18; 2θ 15.18, I = 17; 2θ 36.09, I = 15; 2θ 32.54, I = 11; 2θ 27.18, I = 11

Crystal structure
a b c (Å): 6.295 6.295 6.295
angles (deg): 37.87 37.87 37.87
Fractional positions:
1 Cu 0.070 0.070 0.070
2 Cu 0.213 0.213 0.213
3 Cu 0.359 0.359 0.359
4 Cu 0.641 0.641 0.641
5 Cu 0.787 0.787 0.787
6 Cu 0.930 0.930 0.930
7 Si 0.500 0.500 0.500

***

6.
Structure and theoretical X-ray diffraction stick pattern of ReMo (a cell relaxed with PBE; Cu Ka).
Peak positions follow from Bragg's law for the DFT cell and can differ from measured ones.

The 8 most intense peaks (2θ = 10–90°), by intensity:
2θ 40.60, I = 1000; 2θ 73.87, I = 206; 2θ 40.42, I = 202; 2θ 73.62, I = 138; 2θ 58.64, I = 135; 2θ 87.87, I = 114; 2θ 73.98, I = 68; 2θ 58.88, I = 67

Crystal structure
a b c (Å): 2.719 2.719 8.927
angles (deg): 90.00 90.00 109.54
Fractional positions:
1 Re 0.250 0.750 0.876
2 Re 0.750 0.250 0.124
3 Mo 0.250 0.750 0.373
4 Mo 0.750 0.250 0.627

***

7.
Structure and theoretical X-ray diffraction stick pattern of Sm3Dy7In2 (a cell relaxed with PBE; Cu Ka).
Peak positions follow from Bragg's law for the DFT cell and can differ from measured ones.

The 8 most intense peaks (2θ = 10–90°), by intensity:
2θ 32.08, I = 1000; 2θ 31.52, I = 380; 2θ 34.53, I = 341; 2θ 55.88, I = 302; 2θ 51.11, I = 269; 2θ 34.06, I = 258; 2θ 27.48, I = 226; 2θ 67.08, I = 216

Crystal structure
a b c (Å): 11.193 11.193 11.193
angles (deg): 34.20 34.20 34.20
Fractional positions:
1 Sm 0.000 0.000 0.000
2 Sm 0.144 0.144 0.144
3 Sm 0.856 0.856 0.856
4 Dy 0.079 0.580 0.580
5 Dy 0.420 0.420 0.921
6 Dy 0.420 0.921 0.420
7 Dy 0.500 0.500 0.500
8 Dy 0.580 0.079 0.580
9 Dy 0.580 0.580 0.079
10 Dy 0.921 0.420 0.420
11 In 0.334 0.334 0.334
12 In 0.666 0.666 0.666

***

8.
Structure and theoretical X-ray diffraction stick pattern of CdRhSe2 (a cell relaxed with PBE; Cu Ka).
Peak positions follow from Bragg's law for the DFT cell and can differ from measured ones.

The 8 most intense peaks (2θ = 10–90°), by intensity:
2θ 40.29, I = 1000; 2θ 44.51, I = 618; 2θ 29.66, I = 484; 2θ 25.26, I = 399; 2θ 61.58, I = 276; 2θ 79.08, I = 196; 2θ 70.25, I = 129; 2θ 81.99, I = 101

Crystal structure
a b c (Å): 4.070 4.070 5.794
angles (deg): 90.07 90.07 60.05
Fractional positions:
1 Cd 0.000 0.000 0.000
2 Rh 0.000 0.000 0.500
3 Se 0.334 0.334 0.695
4 Se 0.666 0.666 0.305

***

9.
Structure and theoretical X-ray diffraction stick pattern of Sr2Rh3AuO8 (a cell relaxed with PBE; Cu Ka).
Peak positions follow from Bragg's law for the DFT cell and can differ from measured ones.

The 8 most intense peaks (2θ = 10–90°), by intensity:
2θ 32.21, I = 1000; 2θ 26.41, I = 412; 2θ 32.89, I = 411; 2θ 57.89, I = 303; 2θ 28.01, I = 279; 2θ 30.81, I = 278; 2θ 49.93, I = 267; 2θ 54.38, I = 261

Crystal structure
a b c (Å): 6.773 6.773 6.773
angles (deg): 56.11 56.11 56.11
Fractional positions:
1 Sr 0.000 0.000 0.000
2 Sr 0.380 0.380 0.380
3 Rh 0.005 0.005 0.503
4 Rh 0.005 0.503 0.005
5 Rh 0.503 0.005 0.005
6 Au 0.648 0.648 0.648
7 O 0.200 0.743 0.743
8 O 0.231 0.231 0.231
9 O 0.255 0.255 0.817
10 O 0.255 0.817 0.255
11 O 0.743 0.200 0.743
12 O 0.743 0.743 0.200
13 O 0.776 0.776 0.776
14 O 0.817 0.255 0.255

***

10.
Structure and theoretical X-ray diffraction stick pattern of Pm7Tm3Mg (a cell relaxed with PBE; Cu Ka).
Peak positions follow from Bragg's law for the DFT cell and can differ from measured ones.

The 8 most intense peaks (2θ = 10–90°), by intensity:
2θ 30.99, I = 1000; 2θ 35.99, I = 670; 2θ 31.19, I = 326; 2θ 61.61, I = 280; 2θ 51.68, I = 238; 2θ 51.95, I = 235; 2θ 17.77, I = 161; 2θ 61.49, I = 142

Crystal structure
a b c (Å): 7.075 7.075 8.602
angles (deg): 90.00 90.00 120.00
Fractional positions:
1 Pm 0.000 0.000 0.000
2 Pm 0.164 0.328 0.664
3 Pm 0.164 0.836 0.664
4 Pm 0.500 0.001 0.003
5 Pm 0.500 0.500 0.003
6 Pm 0.672 0.836 0.664
7 Pm 0.999 0.500 0.003
8 Tm 0.332 0.166 0.333
9 Tm 0.834 0.166 0.333
10 Tm 0.834 0.668 0.333
11 Mg 0.667 0.333 0.664

***

11.
Structure and theoretical X-ray diffraction stick pattern of UReI (a cell relaxed with PBE; Cu Ka).
Peak positions follow from Bragg's law for the DFT cell and can differ from measured ones.

The 8 most intense peaks (2θ = 10–90°), by intensity:
2θ 32.82, I = 1000; 2θ 36.10, I = 948; 2θ 36.26, I = 893; 2θ 39.26, I = 843; 2θ 43.10, I = 832; 2θ 35.63, I = 677; 2θ 43.55, I = 596; 2θ 38.05, I = 566

Crystal structure
a b c (Å): 3.130 3.318 14.693
angles (deg): 89.46 89.90 69.88
Fractional positions:
1 U 0.001 0.246 0.081
2 U 0.999 0.754 0.919
3 Re 0.499 0.260 0.793
4 Re 0.501 0.740 0.207
5 I 0.002 0.735 0.367
6 I 0.998 0.265 0.633

***

12.
Structure and theoretical X-ray diffraction stick pattern of Pr2Sn3 (a cell relaxed with PBE; Cu Ka).
Peak positions follow from Bragg's law for the DFT cell and can differ from measured ones.

The 8 most intense peaks (2θ = 10–90°), by intensity:
2θ 32.22, I = 1000; 2θ 32.45, I = 903; 2θ 31.91, I = 865; 2θ 32.64, I = 817; 2θ 32.10, I = 536; 2θ 35.71, I = 404; 2θ 37.02, I = 383; 2θ 31.06, I = 340

Crystal structure
a b c (Å): 6.503 8.551 11.297
angles (deg): 107.32 96.78 100.10
Fractional positions:
1 Pr 0.041 0.247 0.444
2 Pr 0.126 0.253 0.883
3 Pr 0.331 0.532 0.244
4 Pr 0.444 0.069 0.164
5 Pr 0.556 0.931 0.836
6 Pr 0.669 0.468 0.756
7 Pr 0.874 0.747 0.117
8 Pr 0.959 0.753 0.556
9 Sn 0.047 0.853 0.880
10 Sn 0.178 0.538 0.723
11 Sn 0.223 0.906 0.365
12 Sn 0.325 0.102 0.638
13 Sn 0.356 0.665 0.998
14 Sn 0.439 0.671 0.551
15 Sn 0.561 0.329 0.449
16 Sn 0.644 0.335 0.002
17 Sn 0.675 0.898 0.362
18 Sn 0.777 0.094 0.635
19 Sn 0.822 0.462 0.277
20 Sn 0.953 0.147 0.120